Tb2Sm2Tc: theoretical powder XRD pattern (a wavelength of 1.5418 Å), based on DFT lattice parameters and positions (PBE).
Intensities are scaled so that the largest is 100.

Peak list (8 most intense, 2θ = 15–90°, in order of falling intensity)
d_spacing  Position (°2θ)  Rel. int.
2.476  36.29  100.0
2.654  33.77  91.1
2.795  32.02  65.5
3.377  26.39  43.8
3.035  29.43  41.7
3.258  27.37  35.3
1.996  45.44  35.3
2.510  35.77  27.3

Cell and atoms:
a b c (Å): 4.966 4.966 12.333
angles (deg): 97.19 97.19 90.15
Fractional positions:
1 Tb 0.030 0.290 0.107
2 Tb 0.290 0.030 0.607
3 Tb 0.710 0.970 0.393
4 Tb 0.970 0.710 0.893
5 Sm 0.214 0.454 0.377
6 Sm 0.454 0.214 0.877
7 Sm 0.546 0.786 0.123
8 Sm 0.786 0.546 0.623
9 Tc 0.118 0.882 0.250
10 Tc 0.882 0.118 0.750